# NiAgRh2C
Simulated powder X-ray diffraction pattern, CuKα. Input: a GGA-PBE-relaxed structure.
No peak broadening, texture or thermal motion is included.

The 10 most intense peaks (2θ = 5–70°), in order of rising 2θ:
h k l, two_theta, I_rel
1 0 0, 21.8, 2
0 0 1, 22.8, 2
1 0 1, 31.7, 4
1 1 1, 38.8, 100
2 0 0, 44.4, 37
0 0 2, 46.6, 16
2 0 1, 50.5, 1
2 1 1, 55.6, 1
2 2 0, 64.6, 12
2 0 2, 66.3, 21

```
data_NiAgRh2C
_chemical_formula_sum 'Ni1 Ag1 Rh2 C1'
_cell_length_a 4.081
_cell_length_b 4.081
_cell_length_c 3.898
_cell_angle_alpha 90.00
_cell_angle_beta 90.00
_cell_angle_gamma 90.00
_symmetry_space_group_name_H-M 'P 1'
_symmetry_Int_Tables_number 1
loop_
_symmetry_equiv_pos_as_xyz
'x,y,z'
loop_
_atom_site_label
_atom_site_type_symbol
_atom_site_fract_x
_atom_site_fract_y
_atom_site_fract_z
Ni1 Ni 0.000 0.000 0.000
Ag1 Ag 0.500 0.500 0.000
Rh1 Rh 0.000 0.500 0.500
Rh2 Rh 0.500 0.000 0.500
C1 C 0.000 0.000 0.500
```